Diffraction record for Tb15PmNd4. The powder diffraction line list is theoretical, not measured: it uses a cell relaxed with PBE and a wavelength of 1.5418 Å.
Peak positions follow from Bragg's law for the DFT cell and can differ from measured ones.

Cell and atoms:
Unit cell a=5.082 b=5.082 c=25.322 alpha=90.00 beta=90.00 gamma=90.00
Space group P4/mmm (No. 123)
Inequivalent atoms, fractional coordinates:
Tb: 0.000 0.000 0.000 x1
Tb: 0.000 0.000 0.200 x2
Tb: 0.000 0.000 0.400 x2
Tb: 0.000 0.500 0.100 x4
Tb: 0.000 0.500 0.300 x4
Tb: 0.000 0.500 0.500 x2
Pm: 0.500 0.500 0.000 x1
Nd: 0.500 0.500 0.200 x2
Nd: 0.500 0.500 0.400 x2

Top 9 peaks for 10° ≤ 2θ ≤ 80°, in order of falling intensity:
- 2θ 30.50, I 100
- 2θ 50.88, I 36
- 2θ 35.32, I 34
- 2θ 60.43, I 29
- 2θ 35.45, I 17
- 2θ 60.60, I 14
- 2θ 63.48, I 12
- 2θ 74.71, I 4
- 2θ 75.02, I 2